(1)
# CeTmPd14
Computed X-ray powder pattern, Cu Kα (weighted mean of Kα1 and Kα2). Input: a crystal structure in Alexandria, relaxed with GGA-PBE.

Largest 10 diffraction maxima, low angle first, 2θ from 10° to 90°:
2θ/deg	Rel. int.
24.5	0.8
33.0	0.7
38.6	100.0
44.3	33.9
46.1	14.9
64.4	10.9
65.8	20.1
77.7	25.1
80.3	11.2
82.8	10.6

Crystal structure
```
CeTmPd14
1.0
5.7874 0.0000 0.0000
0.0000 5.7874 0.0000
0.0000 0.0000 7.8761
Ce Tm Pd
1 1 14
direct
0.0000 0.0000 0.0000
0.5000 0.5000 0.0000
0.0000 0.0000 0.5000
0.0000 0.5000 0.0000
0.0000 0.5000 0.5000
0.2498 0.2498 0.2563
0.2498 0.2498 0.7437
0.2498 0.7502 0.2563
0.2498 0.7502 0.7437
0.5000 0.0000 0.0000
0.5000 0.0000 0.5000
0.5000 0.5000 0.5000
0.7502 0.2498 0.2563
0.7502 0.2498 0.7437
0.7502 0.7502 0.2563
0.7502 0.7502 0.7437
```

---

(2)
# CeTmPd
Computed X-ray powder pattern, Cu Kα (weighted mean of Kα1 and Kα2). Input: a crystal structure in Alexandria, relaxed with GGA-PBE.

Largest 10 diffraction maxima, low angle first, 2θ from 10° to 90°:
2θ/deg	Rel. int.
29.4	15.1
30.1	13.0
33.3	100.0
34.7	50.9
35.1	78.6
37.3	46.1
51.8	33.1
60.1	16.1
63.6	19.7
64.7	14.5

Crystal structure
```
CeTmPd
1.0
11.3798 0.0000 0.0000
0.0000 4.8230 0.0000
-3.2458 0.0000 5.3584
Ce Tm Pd
4 4 4
direct
0.0419 0.0000 0.3246
0.4581 0.5000 0.6754
0.5419 0.5000 0.3246
0.9581 0.0000 0.6754
0.1745 0.5000 0.0947
0.3255 0.0000 0.9053
0.6745 0.0000 0.0947
0.8255 0.5000 0.9053
0.1756 0.5000 0.6493
0.3244 0.0000 0.3507
0.6756 0.0000 0.6493
0.8244 0.5000 0.3507
```